Record 1
# Er2TlCd
Calculated powder XRD pattern, Cu Ka. Input: a crystal structure in the Materials Project, relaxed with PBE.
Lines closer than 0.1° are merged.

The 10 most intense peaks (2θ = 10–90°), in order of rising 2θ:
- 20.56 deg, d = 4.319 Å, intensity 4
- 33.89 deg, d = 2.645 Å, intensity 100
- 39.97 deg, d = 2.256 Å, intensity 2
- 48.69 deg, d = 1.870 Å, intensity 18
- 53.39 deg, d = 1.716 Å, intensity 1
- 60.64 deg, d = 1.527 Å, intensity 38
- 64.75 deg, d = 1.440 Å, intensity 1
- 71.32 deg, d = 1.322 Å, intensity 12
- 75.13 deg, d = 1.264 Å, intensity 1
- 81.35 deg, d = 1.183 Å, intensity 16

Structural model:
```
4
Lattice="0.000 3.740 3.740 3.740 0.000 3.740 3.740 3.740 0.000" Properties=species:S:1:pos:R:3 pbc="T T T"
Er 1.870 1.870 1.870
Er 5.611 5.611 5.611
Tl 0.000 0.000 0.000
Cd 3.740 3.740 3.740
```


Record 2
# CsHo
Calculated powder XRD pattern, Cu Ka. Input: a crystal structure in the Materials Project, relaxed with PBE.
Lines closer than 0.1° are merged.

The 10 most intense peaks (2θ = 10–90°), in order of rising 2θ:
- 23.55 deg, d = 3.778 Å, intensity 40
- 27.30 deg, d = 3.267 Å, intensity 22
- 29.79 deg, d = 2.999 Å, intensity 100
- 36.35 deg, d = 2.471 Å, intensity 20
- 45.47 deg, d = 1.995 Å, intensity 31
- 48.23 deg, d = 1.887 Å, intensity 23
- 54.37 deg, d = 1.688 Å, intensity 24
- 57.75 deg, d = 1.597 Å, intensity 15
- 68.43 deg, d = 1.371 Å, intensity 19
- 88.09 deg, d = 1.109 Å, intensity 15

Structural model:
```
2
Lattice="3.772 0.000 0.000 -1.886 3.267 0.000 0.000 0.000 7.557" Properties=species:S:1:pos:R:3 pbc="T T T"
Cs 0.000 0.000 0.000
Ho 1.886 1.089 3.778
```


Record 3
# KGdP4O12
Calculated powder XRD pattern, Cu Ka. Input: a crystal structure in the Materials Project, relaxed with PBE.
Lines closer than 0.1° are merged.

The 10 most intense peaks (2θ = 10–90°), in order of rising 2θ:
- 15.19 deg, d = 5.832 Å, intensity 97
- 15.91 deg, d = 5.570 Å, intensity 72
- 16.15 deg, d = 5.488 Å, intensity 51
- 16.60 deg, d = 5.342 Å, intensity 64
- 26.47 deg, d = 3.367 Å, intensity 100
- 26.76 deg, d = 3.332 Å, intensity 74
- 27.19 deg, d = 3.280 Å, intensity 50
- 28.43 deg, d = 3.139 Å, intensity 74
- 28.96 deg, d = 3.084 Å, intensity 66
- 33.52 deg, d = 2.673 Å, intensity 45

Structural model:
```
36
Lattice="7.359 0.000 0.000 0.000 8.526 0.000 -0.216 0.000 7.995" Properties=species:S:1:pos:R:3 pbc="T T T"
K 1.647 0.000 2.232
K 5.496 4.263 5.762
Gd 1.770 2.662 6.066
Gd 5.372 6.925 1.929
P 0.279 7.998 7.209
P 0.759 4.800 3.219
P 2.767 6.273 7.172
P 3.567 3.965 3.068
P 3.575 8.228 4.927
P 4.375 2.010 0.823
P 6.383 0.537 4.776
P 6.863 3.735 0.786
O 0.109 6.103 2.870
O 0.229 3.634 2.225
O 0.291 3.448 7.699
O 0.674 4.290 4.625
O 1.095 0.715 7.397
O 1.223 6.703 7.037
O 2.302 4.915 2.768
O 2.353 0.575 4.917
O 2.867 4.894 6.603
O 3.322 3.131 4.294
O 3.468 6.544 0.575
O 3.534 3.033 1.761
O 3.608 7.296 6.234
O 3.674 2.281 7.419
O 3.820 7.394 3.701
O 4.275 0.631 1.392
O 4.789 4.838 3.078
O 4.840 0.652 5.226
O 5.919 2.440 0.958
O 6.047 4.978 0.598
O 6.469 0.027 3.369
O 6.851 7.711 0.296
O 6.914 7.897 5.770
O 7.033 1.840 5.125
```


Record 4
# Cs
Calculated powder XRD pattern, Cu Ka. Input: a crystal structure in the Materials Project, relaxed with PBE.
Lines closer than 0.1° are merged.

The 10 most intense peaks (2θ = 10–90°), in order of rising 2θ:
- 19.86 deg, d = 4.470 Å, intensity 100
- 20.12 deg, d = 4.414 Å, intensity 49
- 20.47 deg, d = 4.338 Å, intensity 47
- 21.32 deg, d = 4.167 Å, intensity 85
- 28.86 deg, d = 3.094 Å, intensity 40
- 34.16 deg, d = 2.625 Å, intensity 25
- 35.49 deg, d = 2.529 Å, intensity 23
- 36.37 deg, d = 2.470 Å, intensity 42
- 36.82 deg, d = 2.441 Å, intensity 20
- 46.67 deg, d = 1.946 Å, intensity 21

Structural model:
```
1
Lattice="3.019 -4.338 0.000 3.019 4.338 0.000 -2.575 0.000 4.414" Properties=species:S:1:pos:R:3 pbc="T T T"
Cs 0.000 0.000 0.000
```


Record 5
# SmP2Ir2
Calculated powder XRD pattern, Cu Ka. Input: a crystal structure in the Materials Project, relaxed with PBE.
Lines closer than 0.1° are merged.

The 10 most intense peaks (2θ = 10–90°), in order of rising 2θ:
- 27.77 deg, d = 3.212 Å, intensity 26
- 28.35 deg, d = 3.148 Å, intensity 30
- 31.81 deg, d = 2.813 Å, intensity 93
- 35.31 deg, d = 2.542 Å, intensity 87
- 35.77 deg, d = 2.510 Å, intensity 100
- 43.52 deg, d = 2.079 Å, intensity 82
- 48.87 deg, d = 1.864 Å, intensity 27
- 52.37 deg, d = 1.747 Å, intensity 37
- 57.24 deg, d = 1.610 Å, intensity 44
- 63.23 deg, d = 1.471 Å, intensity 30

Structural model:
```
10
Lattice="4.159 0.000 0.000 0.000 4.159 0.000 0.000 0.000 9.636" Properties=species:S:1:pos:R:3 pbc="T T T"
Sm 1.040 1.040 2.331
Sm 3.119 3.119 7.305
P 1.040 1.040 6.165
P 1.040 3.119 0.000
P 3.119 1.040 0.000
P 3.119 3.119 3.471
Ir 1.040 1.040 8.534
Ir 1.040 3.119 4.818
Ir 3.119 1.040 4.818
Ir 3.119 3.119 1.102
```


Record 6
# U3Se5
Calculated powder XRD pattern, Cu Ka. Input: a crystal structure in the Materials Project, relaxed with PBE.
Lines closer than 0.1° are merged.

The 10 most intense peaks (2θ = 10–90°), in order of rising 2θ:
- 23.12 deg, d = 3.847 Å, intensity 39
- 24.73 deg, d = 3.600 Å, intensity 82
- 25.70 deg, d = 3.466 Å, intensity 50
- 26.20 deg, d = 3.401 Å, intensity 56
- 32.77 deg, d = 2.733 Å, intensity 29
- 33.14 deg, d = 2.704 Å, intensity 42
- 35.22 deg, d = 2.548 Å, intensity 100
- 36.71 deg, d = 2.448 Å, intensity 45
- 44.24 deg, d = 2.047 Å, intensity 43
- 44.76 deg, d = 2.025 Å, intensity 55

Structural model:
```
32
Lattice="12.220 0.000 0.000 0.000 8.189 0.000 0.000 0.000 7.694" Properties=species:S:1:pos:R:3 pbc="T T T"
U 0.079 2.047 0.616
U 2.207 0.002 4.029
U 2.207 4.092 4.029
U 3.903 8.187 0.182
U 3.903 4.097 0.182
U 6.031 6.142 4.464
U 6.189 2.047 3.231
U 8.317 0.002 7.512
U 8.317 4.092 7.512
U 10.013 8.187 3.665
U 10.013 4.097 3.665
U 12.141 6.142 7.078
Se 0.005 2.047 3.571
Se 12.215 6.142 4.123
Se 1.197 4.495 1.313
Se 1.197 7.789 1.313
Se 2.263 2.047 6.392
Se 2.664 6.142 6.155
Se 3.446 2.047 2.308
Se 3.847 6.142 2.545
Se 4.913 0.400 5.161
Se 4.913 3.694 5.161
Se 6.115 2.047 0.276
Se 6.105 6.142 7.418
Se 7.307 4.495 2.534
Se 7.307 7.789 2.534
Se 8.373 2.047 5.150
Se 8.774 6.142 5.386
Se 9.556 2.047 1.539
Se 9.957 6.142 1.302
Se 11.023 0.400 6.381
Se 11.023 3.694 6.381
```